Entry 1:
Theoretical XRD peak list
Compound: YErH2O4
Radiation: Cu Kα
Structure: a structure optimized by DFT (GGA-PBE)
Kinematic intensities with the Lorentz-polarization factor, no thermal factor.

Atomic structure:
```
data_YErH2O4
_chemical_formula_sum 'Y1 Er1 H2 O4'
_space_group_name_H-M_alt 'P 1 m 1'
_space_group_IT_number 6
_cell_length_a 4.2854
_cell_length_b 3.5861
_cell_length_c 5.9093
_cell_angle_alpha 90.00
_cell_angle_beta 109.52
_cell_angle_gamma 90.00
loop_
_space_group_symop_operation_xyz
'x,y,z'
'x,-y,z'
loop_
_atom_site_label
_atom_site_fract_x
_atom_site_fract_y
_atom_site_fract_z
Y1 0.0000 0.0000 0.0000
Er1 0.3300 0.5000 0.6197
H1 0.6560 0.0000 0.4049
H2 0.6767 0.5000 0.2231
O1 0.4196 0.0000 0.3775
O2 0.4316 0.0000 0.8614
O3 0.8954 0.5000 0.7520
O4 0.9129 0.5000 0.2492
```

Most intense lines, 2θ from 5° to 70°, sorted by position:
| d_spacing | I (rel.) |
| --- | --- |
| 5.570 | 520 |
| 4.039 | 353 |
| 3.958 | 517 |
| 3.015 | 1000 |
| 2.848 | 500 |
| 2.682 | 323 |
| 2.658 | 547 |
| 2.199 | 381 |



Entry 2:
Theoretical XRD peak list
Compound: PrErH4
Radiation: Cu Kα
Structure: a structure optimized by DFT (GGA-PBE)
Kinematic intensities with the Lorentz-polarization factor, no thermal factor.

Atomic structure:
```
data_PrErH4
_chemical_formula_sum 'Pr1 Er1 H4'
_space_group_name_H-M_alt 'P 4/m m m'
_space_group_IT_number 123
_space_group_name_Hall '-P 4 2'
_cell_length_a 3.7220
_cell_length_b 3.7220
_cell_length_c 5.3769
_cell_angle_alpha 90.00
_cell_angle_beta 90.00
_cell_angle_gamma 90.00
loop_
_atom_site_label
_atom_site_fract_x
_atom_site_fract_y
_atom_site_fract_z
Pr1 0.0000 0.0000 0.0000
Er1 0.5000 0.5000 0.5000
H1 0.0000 0.5000 0.2734
```

Most intense lines, 2θ from 5° to 70°, sorted by position:
| d_spacing | I (rel.) |
| --- | --- |
| 3.060 | 1000 |
| 2.688 | 170 |
| 2.632 | 320 |
| 1.881 | 255 |
| 1.861 | 124 |
| 1.615 | 153 |
| 1.590 | 290 |
| 1.530 | 125 |



Entry 3:
Theoretical XRD peak list
Compound: HoErHf2Sb2
Radiation: Cu Kα
Structure: a structure optimized by DFT (GGA-PBE)
Kinematic intensities with the Lorentz-polarization factor, no thermal factor.

Atomic structure:
```
data_HoErHf2Sb2
_chemical_formula_sum 'Ho2 Er2 Hf4 Sb4'
_space_group_name_H-M_alt 'I 4 m m'
_space_group_IT_number 107
_space_group_name_Hall 'I 4 -2'
_cell_length_a 4.2488
_cell_length_b 4.2488
_cell_length_c 16.4253
_cell_angle_alpha 90.00
_cell_angle_beta 90.00
_cell_angle_gamma 90.00
loop_
_atom_site_label
_atom_site_fract_x
_atom_site_fract_y
_atom_site_fract_z
Ho1 0.0000 0.0000 0.0000
Er1 0.0000 0.0000 0.3520
Hf1 0.0000 0.5000 0.1763
Sb1 0.0000 0.0000 0.5435
Sb2 0.0000 0.0000 0.8089
```

Most intense lines, 2θ from 5° to 70°, sorted by position:
| d_spacing | I (rel.) |
| --- | --- |
| 2.822 | 1000 |
| 2.738 | 376 |
| 2.599 | 325 |
| 2.425 | 941 |
| 2.124 | 584 |
| 1.678 | 441 |
| 1.645 | 174 |
| 1.502 | 194 |



Entry 4:
Theoretical XRD peak list
Compound: ErHf2In3Ir2
Radiation: Cu Kα
Structure: a structure optimized by DFT (GGA-PBE)
Kinematic intensities with the Lorentz-polarization factor, no thermal factor.

Atomic structure:
```
data_ErHf2In3Ir2
_chemical_formula_sum 'Er2 Hf4 In6 Ir4'
_space_group_name_H-M_alt 'A m m 2'
_space_group_IT_number 38
_cell_length_a 3.3199
_cell_length_b 13.2779
_cell_length_c 7.5474
_cell_angle_alpha 90.00
_cell_angle_beta 90.00
_cell_angle_gamma 90.00
loop_
_space_group_symop_operation_xyz
'x,y,z'
'-x,-y,z'
'-x,y,z'
'x,-y,z'
'x,y+1/2,z+1/2'
'-x,-y+1/2,z+1/2'
'-x,y+1/2,z+1/2'
'x,-y+1/2,z+1/2'
loop_
_atom_site_label
_atom_site_fract_x
_atom_site_fract_y
_atom_site_fract_z
Er1 0.0000 0.0000 0.0000
Hf1 0.0000 0.2122 0.6313
In1 0.5000 0.0000 0.6483
In2 0.5000 0.1166 0.3061
Ir1 0.5000 0.1730 0.9158
```

Most intense lines, 2θ from 5° to 70°, sorted by position:
| d_spacing | I (rel.) |
| --- | --- |
| 6.639 | 176 |
| 6.561 | 168 |
| 2.505 | 1000 |
| 2.493 | 647 |
| 2.472 | 246 |
| 2.347 | 222 |
| 2.334 | 546 |
| 1.382 | 164 |



Entry 5:
Theoretical XRD peak list
Compound: Er2HfIn3Ir2
Radiation: Cu Kα
Structure: a structure optimized by DFT (GGA-PBE)
Kinematic intensities with the Lorentz-polarization factor, no thermal factor.

Atomic structure:
```
data_Er2HfIn3Ir2
_chemical_formula_sum 'Er4 Hf2 In6 Ir4'
_space_group_name_H-M_alt 'A m m 2'
_space_group_IT_number 38
_cell_length_a 3.4476
_cell_length_b 13.1314
_cell_length_c 7.6840
_cell_angle_alpha 90.00
_cell_angle_beta 90.00
_cell_angle_gamma 90.00
loop_
_space_group_symop_operation_xyz
'x,y,z'
'-x,-y,z'
'-x,y,z'
'x,-y,z'
'x,y+1/2,z+1/2'
'-x,-y+1/2,z+1/2'
'-x,y+1/2,z+1/2'
'x,-y+1/2,z+1/2'
loop_
_atom_site_label
_atom_site_fract_x
_atom_site_fract_y
_atom_site_fract_z
Er1 0.0000 0.2099 0.0000
Hf1 0.0000 0.0000 0.6380
In1 0.5000 0.0000 0.9764
In2 0.5000 0.1147 0.3298
Ir1 0.5000 0.1572 0.7058
```

Most intense lines, 2θ from 5° to 70°, sorted by position:
| d_spacing | I (rel.) |
| --- | --- |
| 6.632 | 402 |
| 2.566 | 441 |
| 2.554 | 1000 |
| 2.514 | 415 |
| 2.496 | 365 |
| 2.485 | 296 |
| 2.390 | 627 |
| 2.377 | 414 |



Entry 6:
Theoretical XRD peak list
Compound: ErHf2O3
Radiation: Cu Kα
Structure: a structure optimized by DFT (GGA-PBE)
Kinematic intensities with the Lorentz-polarization factor, no thermal factor.

Atomic structure:
```
data_ErHf2O3
_chemical_formula_sum 'Er1 Hf2 O3'
_space_group_name_H-M_alt 'P -3 m 1'
_space_group_IT_number 164
_space_group_name_Hall '-P 3 2"'
_cell_length_a 3.2532
_cell_length_b 3.2532
_cell_length_c 7.9617
_cell_angle_alpha 90.00
_cell_angle_beta 90.00
_cell_angle_gamma 120.00
loop_
_atom_site_label
_atom_site_fract_x
_atom_site_fract_y
_atom_site_fract_z
Er1 0.0000 0.0000 0.0000
Hf1 0.3333 0.6667 0.3411
O1 0.0000 0.0000 0.5000
O2 0.3333 0.6667 0.8180
```

Most intense lines, 2θ from 5° to 70°, sorted by position:
| d_spacing | I (rel.) |
| --- | --- |
| 7.962 | 12 |
| 2.655 | 1000 |
| 2.300 | 736 |
| 1.932 | 8 |
| 1.626 | 492 |
| 1.387 | 433 |



Entry 7:
Theoretical XRD peak list
Compound: Er3Hf3Sb2Os
Radiation: Cu Kα
Structure: a structure optimized by DFT (GGA-PBE)
Kinematic intensities with the Lorentz-polarization factor, no thermal factor.

Atomic structure:
```
data_Er3Hf3Sb2Os
_chemical_formula_sum 'Er3 Hf3 Sb2 Os1'
_space_group_name_H-M_alt 'P -6 2 m'
_space_group_IT_number 189
_space_group_name_Hall 'P -6 -2'
_cell_length_a 7.8842
_cell_length_b 7.8842
_cell_length_c 4.0050
_cell_angle_alpha 90.00
_cell_angle_beta 90.00
_cell_angle_gamma 120.00
loop_
_atom_site_label
_atom_site_fract_x
_atom_site_fract_y
_atom_site_fract_z
Er1 0.0000 0.6024 0.0000
Hf1 0.0000 0.2325 0.5000
Sb1 0.3333 0.6667 0.5000
Os1 0.0000 0.0000 0.0000
```

Most intense lines, 2θ from 5° to 70°, sorted by position:
| d_spacing | I (rel.) |
| --- | --- |
| 2.809 | 1000 |
| 2.598 | 929 |
| 2.581 | 649 |
| 2.276 | 355 |
| 2.169 | 552 |
| 2.003 | 287 |
| 1.582 | 296 |
| 1.459 | 343 |



Entry 8:
Theoretical XRD peak list
Compound: ErHfSc2Sb2
Radiation: Cu Kα
Structure: a structure optimized by DFT (GGA-PBE)
Kinematic intensities with the Lorentz-polarization factor, no thermal factor.

Atomic structure:
```
data_ErHfSc2Sb2
_chemical_formula_sum 'Er2 Hf2 Sc4 Sb4'
_space_group_name_H-M_alt 'I 4 m m'
_space_group_IT_number 107
_space_group_name_Hall 'I 4 -2'
_cell_length_a 4.1918
_cell_length_b 4.1918
_cell_length_c 16.0431
_cell_angle_alpha 90.00
_cell_angle_beta 90.00
_cell_angle_gamma 90.00
loop_
_atom_site_label
_atom_site_fract_x
_atom_site_fract_y
_atom_site_fract_z
Er1 0.0000 0.0000 0.0000
Hf1 0.0000 0.0000 0.3543
Sc1 0.0000 0.5000 0.1826
Sb1 0.0000 0.0000 0.5449
Sb2 0.0000 0.0000 0.8147
```

Most intense lines, 2θ from 5° to 70°, sorted by position:
| d_spacing | I (rel.) |
| --- | --- |
| 8.022 | 417 |
| 2.964 | 1000 |
| 2.780 | 747 |
| 2.674 | 378 |
| 2.548 | 736 |
| 2.384 | 767 |
| 2.096 | 697 |
| 1.619 | 371 |



Entry 9:
Theoretical XRD peak list
Compound: Er3Hg5
Radiation: Cu Kα
Structure: a structure optimized by DFT (GGA-PBE)
Kinematic intensities with the Lorentz-polarization factor, no thermal factor.

Atomic structure:
```
data_Er3Hg5
_chemical_formula_sum 'Er6 Hg10'
_space_group_name_H-M_alt 'A m m 2'
_space_group_IT_number 38
_cell_length_a 5.0699
_cell_length_b 7.3357
_cell_length_c 10.3414
_cell_angle_alpha 90.00
_cell_angle_beta 90.00
_cell_angle_gamma 90.00
loop_
_space_group_symop_operation_xyz
'x,y,z'
'-x,-y,z'
'-x,y,z'
'x,-y,z'
'x,y+1/2,z+1/2'
'-x,-y+1/2,z+1/2'
'-x,y+1/2,z+1/2'
'x,-y+1/2,z+1/2'
loop_
_atom_site_label
_atom_site_fract_x
_atom_site_fract_y
_atom_site_fract_z
Er1 0.0000 0.0000 0.0000
Er2 0.0000 0.0000 0.4457
Er3 0.5000 0.0000 0.7432
Hg1 0.0000 0.2226 0.7200
Hg2 0.5000 0.0000 0.2425
Hg3 0.5000 0.2478 0.4956
```

Most intense lines, 2θ from 5° to 70°, sorted by position:
| d_spacing | I (rel.) |
| --- | --- |
| 2.585 | 226 |
| 2.576 | 1000 |
| 2.535 | 259 |
| 1.834 | 88 |
| 1.810 | 160 |
| 1.491 | 130 |
| 1.486 | 96 |
| 1.471 | 182 |



Entry 10:
Theoretical XRD peak list
Compound: Er3Hg5
Radiation: Cu Kα
Structure: a structure optimized by DFT (GGA-PBE)
Kinematic intensities with the Lorentz-polarization factor, no thermal factor.

Atomic structure:
```
data_Er3Hg5
_chemical_formula_sum 'Er12 Hg20'
_space_group_name_H-M_alt 'C m c m'
_space_group_IT_number 63
_space_group_name_Hall '-C 2c 2'
_cell_length_a 9.9908
_cell_length_b 7.6760
_cell_length_c 10.0737
_cell_angle_alpha 90.00
_cell_angle_beta 90.00
_cell_angle_gamma 90.00
loop_
_atom_site_label
_atom_site_fract_x
_atom_site_fract_y
_atom_site_fract_z
Er1 0.0000 0.0569 0.2500
Er2 0.2151 0.5000 0.0000
Hg1 0.0000 0.2102 0.5251
Hg2 0.0000 0.4619 0.2500
Hg3 0.2206 0.2471 0.7500
```

Most intense lines, 2θ from 5° to 70°, sorted by position:
| d_spacing | I (rel.) |
| --- | --- |
| 2.605 | 1000 |
| 2.518 | 251 |
| 2.498 | 197 |
| 2.407 | 69 |
| 2.260 | 94 |
| 1.773 | 128 |
| 1.470 | 143 |
| 1.462 | 76 |



Entry 11:
Theoretical XRD peak list
Compound: HoErHg4
Radiation: Cu Kα
Structure: a structure optimized by DFT (GGA-PBE)
Kinematic intensities with the Lorentz-polarization factor, no thermal factor.

Atomic structure:
```
data_HoErHg4
_chemical_formula_sum 'Ho1 Er1 Hg4'
_space_group_name_H-M_alt 'P 1 2/m 1'
_space_group_IT_number 10
_cell_length_a 3.3835
_cell_length_b 4.9221
_cell_length_c 8.5268
_cell_angle_alpha 90.00
_cell_angle_beta 90.02
_cell_angle_gamma 90.00
loop_
_space_group_symop_operation_xyz
'x,y,z'
'-x,-y,-z'
'-x,y,-z'
'x,-y,z'
loop_
_atom_site_label
_atom_site_fract_x
_atom_site_fract_y
_atom_site_fract_z
Ho1 0.0000 0.0000 0.0000
Er1 0.0000 0.5000 0.5000
Hg1 0.4944 0.0000 0.6665
Hg2 0.4944 0.5000 0.1668
```

Most intense lines, 2θ from 5° to 70°, sorted by position:
| d_spacing | I (rel.) |
| --- | --- |
| 3.384 | 131 |
| 2.650 | 1000 |
| 2.461 | 981 |
| 1.990 | 189 |
| 1.803 | 325 |
| 1.455 | 323 |
| 1.421 | 180 |
| 1.394 | 338 |



Entry 12:
Theoretical XRD peak list
Compound: Ho2Er3Hg3
Radiation: Cu Kα
Structure: a structure optimized by DFT (GGA-PBE)
Kinematic intensities with the Lorentz-polarization factor, no thermal factor.

Atomic structure:
```
data_Ho2Er3Hg3
_chemical_formula_sum 'Ho2 Er3 Hg3'
_space_group_name_H-M_alt 'P -6 m 2'
_space_group_IT_number 187
_space_group_name_Hall 'P -6 2'
_cell_length_a 6.8713
_cell_length_b 6.8713
_cell_length_c 5.1897
_cell_angle_alpha 90.00
_cell_angle_beta 90.00
_cell_angle_gamma 120.00
loop_
_atom_site_label
_atom_site_fract_x
_atom_site_fract_y
_atom_site_fract_z
Ho1 0.0000 0.0000 0.0000
Ho2 0.3333 0.6667 0.5000
Er1 0.3392 0.1696 0.5000
Hg1 0.5010 0.0020 0.0000
```

Most intense lines, 2θ from 5° to 70°, sorted by position:
| d_spacing | I (rel.) |
| --- | --- |
| 2.975 | 247 |
| 2.595 | 225 |
| 2.581 | 1000 |
| 1.956 | 152 |
| 1.718 | 198 |
| 1.496 | 190 |
| 1.432 | 219 |
| 1.430 | 163 |



Entry 13:
Theoretical XRD peak list
Compound: LiErHgSe3
Radiation: Cu Kα
Structure: a structure optimized by DFT (GGA-PBE)
Kinematic intensities with the Lorentz-polarization factor, no thermal factor.

Atomic structure:
```
data_LiErHgSe3
_chemical_formula_sum 'Li4 Er4 Hg4 Se12'
_space_group_name_H-M_alt 'P n m a'
_space_group_IT_number 62
_cell_length_a 11.6544
_cell_length_b 4.0516
_cell_length_c 13.3507
_cell_angle_alpha 90.00
_cell_angle_beta 90.00
_cell_angle_gamma 90.00
loop_
_space_group_symop_operation_xyz
'x,y,z'
'-x,-y,-z'
'-x+1/2,-y,z+1/2'
'x+1/2,y,-z+1/2'
'x+1/2,-y+1/2,-z+1/2'
'-x+1/2,y+1/2,z+1/2'
'-x,y+1/2,-z'
'x,-y+1/2,z'
loop_
_atom_site_label
_atom_site_fract_x
_atom_site_fract_y
_atom_site_fract_z
Li1 0.1276 0.2500 0.0212
Er1 0.0415 0.2500 0.7344
Hg1 0.2147 0.2500 0.2824
Se1 0.0344 0.2500 0.3922
Se2 0.0796 0.7500 0.8874
Se3 0.2411 0.7500 0.1461
```

Most intense lines, 2θ from 5° to 70°, sorted by position:
| d_spacing | I (rel.) |
| --- | --- |
| 6.675 | 1000 |
| 3.228 | 223 |
| 2.902 | 272 |
| 2.847 | 244 |
| 2.665 | 803 |
| 2.082 | 255 |
| 2.026 | 171 |
| 1.932 | 228 |



Entry 14:
Theoretical XRD peak list
Compound: PrEr2Mg3Tl2Hg
Radiation: Cu Kα
Structure: a structure optimized by DFT (GGA-PBE)
Kinematic intensities with the Lorentz-polarization factor, no thermal factor.

Atomic structure:
```
data_PrEr2Mg3Tl2Hg
_chemical_formula_sum 'Pr2 Er4 Mg6 Tl4 Hg2'
_space_group_name_H-M_alt 'A m m 2'
_space_group_IT_number 38
_cell_length_a 4.6288
_cell_length_b 13.2095
_cell_length_c 7.4576
_cell_angle_alpha 90.00
_cell_angle_beta 90.00
_cell_angle_gamma 90.00
loop_
_space_group_symop_operation_xyz
'x,y,z'
'-x,-y,z'
'-x,y,z'
'x,-y,z'
'x,y+1/2,z+1/2'
'-x,-y+1/2,z+1/2'
'-x,y+1/2,z+1/2'
'x,-y+1/2,z+1/2'
loop_
_atom_site_label
_atom_site_fract_x
_atom_site_fract_y
_atom_site_fract_z
Pr1 0.0000 0.0000 0.0000
Er1 0.0000 0.2102 0.6294
Mg1 0.5000 0.0000 0.6618
Mg2 0.5000 0.1186 0.3033
Tl1 0.5000 0.1711 0.9189
Hg1 0.0000 0.0000 0.4334
```

Most intense lines, 2θ from 5° to 70°, sorted by position:
| d_spacing | I (rel.) |
| --- | --- |
| 3.791 | 545 |
| 3.769 | 268 |
| 2.933 | 496 |
| 2.904 | 311 |
| 2.688 | 432 |
| 2.658 | 1000 |
| 2.314 | 378 |
| 2.163 | 391 |